1.
# Ga2NiTe4
Calculated X-ray diffraction stick pattern, CuKα. Input: a crystal structure in OQMD, relaxed with PBE.

Crystal structure
```
data_Ga2NiTe4
_space_group_name_H-M_alt 'P 41 2 2'
_space_group_IT_number 91
_cell_length_a 8.1021
_cell_length_b 8.1021
_cell_length_c 11.5616
_cell_angle_alpha 90.00
_cell_angle_beta 90.00
_cell_angle_gamma 90.00
loop_
_space_group_symop_operation_xyz
'x,y,z'
'-y,x,z+1/4'
'-x,-y,z+1/2'
'y,-x,z+3/4'
'x,-y,-z+1/2'
'-y,-x,-z+1/4'
'-x,y,-z'
'y,x,-z+3/4'
loop_
_atom_site_label
_atom_site_type_symbol
_atom_site_fract_x
_atom_site_fract_y
_atom_site_fract_z
Ga1 Ga 0.0000 0.2618 0.0000
Ga2 Ga 0.2530 0.2530 0.3750
Ni1 Ni 0.2489 0.5000 0.7500
Te1 Te 0.0292 0.2636 0.7511
Te2 Te 0.2693 0.4842 0.9785
```

Largest 10 diffraction maxima, most intense first, 15° ≤ 2θ ≤ 90°:
(hkl)  2θ (°)  I (rel.)
2 0 2  26.87  100
2 2 4  44.53  94
2 2 0  31.22  86
4 0 0  44.74  47
0 0 4  30.94  44
3 2 1  40.91  32
4 0 4  55.39  26
2 1 1  25.77  22
4 2 2  52.97  21
6 2 4  82.33  21



2.
# Sr3LiFeC3N3
Calculated X-ray diffraction stick pattern, CuKα. Input: a crystal structure in OQMD, relaxed with PBE.

Crystal structure
```
data_Sr3LiFeC3N3
_space_group_name_H-M_alt 'P 63/m'
_space_group_IT_number 176
_space_group_name_Hall '-P 6c'
_cell_length_a 8.3616
_cell_length_b 8.3616
_cell_length_c 5.4109
_cell_angle_alpha 90.00
_cell_angle_beta 90.00
_cell_angle_gamma 120.00
loop_
_atom_site_label
_atom_site_type_symbol
_atom_site_fract_x
_atom_site_fract_y
_atom_site_fract_z
Sr1 Sr 0.0852 0.6906 0.2500
Li1 Li 0.0000 0.0000 0.0000
Fe1 Fe 0.3333 0.6667 0.7500
C1 C 0.1553 0.7232 0.7500
N1 N 0.0453 0.7868 0.7500
```

Largest 10 diffraction maxima, most intense first, 15° ≤ 2θ ≤ 90°:
(hkl)  2θ (°)  I (rel.)
1 1 1  26.95  100
2 1 0  32.72  90
0 0 2  33.11  71
1 2 1  36.80  67
2 1 2  47.24  59
2 0 1  29.69  56
3 2 1  58.08  40
3 0 0  37.25  29
1 2 3  61.60  21
3 2 3  78.25  21



Copy entry 2 word for word.
# Sr3LiFeC3N3
Calculated X-ray diffraction stick pattern, CuKα. Input: a crystal structure in OQMD, relaxed with PBE.

Crystal structure
```
data_Sr3LiFeC3N3
_space_group_name_H-M_alt 'P 63/m'
_space_group_IT_number 176
_space_group_name_Hall '-P 6c'
_cell_length_a 8.3616
_cell_length_b 8.3616
_cell_length_c 5.4109
_cell_angle_alpha 90.00
_cell_angle_beta 90.00
_cell_angle_gamma 120.00
loop_
_atom_site_label
_atom_site_type_symbol
_atom_site_fract_x
_atom_site_fract_y
_atom_site_fract_z
Sr1 Sr 0.0852 0.6906 0.2500
Li1 Li 0.0000 0.0000 0.0000
Fe1 Fe 0.3333 0.6667 0.7500
C1 C 0.1553 0.7232 0.7500
N1 N 0.0453 0.7868 0.7500
```

Largest 10 diffraction maxima, most intense first, 15° ≤ 2θ ≤ 90°:
(hkl)  2θ (°)  I (rel.)
1 1 1  26.95  100
2 1 0  32.72  90
0 0 2  33.11  71
1 2 1  36.80  67
2 1 2  47.24  59
2 0 1  29.69  56
3 2 1  58.08  40
3 0 0  37.25  29
1 2 3  61.60  21
3 2 3  78.25  21